[1]
Simulated powder X-ray diffraction pattern of ScZnNiPt for Cu Kα, 1.54184 Å, from the PBE geometry in Alexandria.
Intensities are scaled so that the largest is 100.

Cell and atoms:
Cell: 4.0735 4.0735 7.2549 Å, 90.00 90.00 90.00°
Space group I-4m2 (No. 119)
Symmetry-distinct sites (fractional):
1 Sc 0.0000 0.0000 0.0000 (multiplicity 2)
2 Zn 0.0000 0.0000 0.5000 (multiplicity 2)
3 Ni 0.0000 0.5000 0.7500 (multiplicity 2)
4 Pt 0.0000 0.5000 0.2500 (multiplicity 2)

The 10 most intense peaks (2θ = 10–80°), low angle first:
24.54°, I 12; 25.07°, I 40; 31.05°, I 14; 39.97°, I 100; 44.48°, I 37; 50.31°, I 13; 51.74°, I 12; 64.73°, I 12; 69.38°, I 19; 78.85°, I 26

[2]
Simulated powder X-ray diffraction pattern of ScZnNiPt for Cu Kα, 1.54184 Å, from the PBE geometry in Alexandria.
Intensities are scaled so that the largest is 100.

Cell and atoms:
Cell: 6.2414 6.2414 6.2414 Å, 90.00 90.00 90.00°
Space group F-43m (No. 216)
Symmetry-distinct sites (fractional):
1 Sc 0.0000 0.0000 0.0000 (multiplicity 4)
2 Zn 0.0000 0.0000 0.5000 (multiplicity 4)
3 Ni 0.2500 0.2500 0.7500 (multiplicity 4)
4 Pt 0.2500 0.2500 0.2500 (multiplicity 4)

The 10 most intense peaks (2θ = 10–80°), low angle first:
24.71°, I 29; 28.60°, I 18; 40.90°, I 100; 48.37°, I 15; 50.67°, I 5; 59.22°, I 16; 65.15°, I 7; 67.06°, I 7; 74.47°, I 33; 79.86°, I 5

[3]
Simulated powder X-ray diffraction pattern of Ni2PtSe for Cu Kα, 1.54184 Å, from the PBE geometry in Alexandria.
Intensities are scaled so that the largest is 100.

Cell and atoms:
Cell: 3.0453 4.1962 4.4028 Å, 90.00 90.00 90.00°
Space group Pmmm (No. 47)
Symmetry-distinct sites (fractional):
1 Ni 0.0000 0.0000 0.0000 (multiplicity 1)
2 Ni 0.5000 0.0000 0.5000 (multiplicity 1)
3 Pt 0.0000 0.5000 0.5000 (multiplicity 1)
4 Se 0.5000 0.5000 0.0000 (multiplicity 1)

The 10 most intense peaks (2θ = 10–80°), low angle first:
20.17°, I 12; 21.17°, I 18; 29.38°, I 15; 35.85°, I 9; 41.00°, I 27; 42.01°, I 100; 43.12°, I 23; 61.01°, I 16; 75.38°, I 17; 78.29°, I 16

[4]
Simulated powder X-ray diffraction pattern of Ni5PtSe8 for Cu Kα, 1.54184 Å, from the PBE geometry in Alexandria.
Intensities are scaled so that the largest is 100.

Cell and atoms:
Cell: 10.1206 10.1206 10.1206 Å, 90.00 90.00 90.00°
Space group F-43m (No. 216)
Symmetry-distinct sites (fractional):
1 Ni 0.0000 0.0000 0.0000 (multiplicity 4)
2 Ni 0.1262 0.1262 0.3738 (multiplicity 16)
3 Pt 0.2500 0.2500 0.7500 (multiplicity 4)
4 Se 0.1112 0.1112 0.6112 (multiplicity 16)
5 Se 0.1338 0.1338 0.1338 (multiplicity 16)

The 10 most intense peaks (2θ = 10–80°), low angle first:
24.88°, I 43; 29.27°, I 73; 30.60°, I 34; 35.48°, I 45; 38.78°, I 12; 43.82°, I 16; 46.63°, I 50; 51.05°, I 100; 71.62°, I 15; 75.09°, I 14

[5]
Simulated powder X-ray diffraction pattern of Ni2PtSe for Cu Kα, 1.54184 Å, from the PBE geometry in Alexandria.
Intensities are scaled so that the largest is 100.

Cell and atoms:
Cell: 8.3079 3.0019 4.5563 Å, 90.00 100.44 90.00°
Space group Cm (No. 8)
Symmetry-distinct sites (fractional):
1 Ni 0.0000 0.0000 0.0000 (multiplicity 2)
2 Ni 0.2447 0.5000 0.2194 (multiplicity 2)
3 Pt 0.4944 0.0000 0.4882 (multiplicity 2)
4 Se 0.2560 0.0000 0.8184 (multiplicity 2)

The 10 most intense peaks (2θ = 10–80°), low angle first:
21.76°, I 18; 26.73°, I 23; 31.76°, I 20; 32.22°, I 18; 38.80°, I 100; 42.35°, I 36; 44.35°, I 36; 46.85°, I 60; 49.84°, I 20; 72.26°, I 19

[6]
Simulated powder X-ray diffraction pattern of SiNi2Pt2 for Cu Kα, 1.54184 Å, from the PBE geometry in Alexandria.
Intensities are scaled so that the largest is 100.

Cell and atoms:
Cell: 5.8527 5.8527 3.9456 Å, 90.00 90.00 90.00°
Space group P4/mbm (No. 127)
Symmetry-distinct sites (fractional):
1 Si 0.0000 0.0000 0.0000 (multiplicity 2)
2 Ni 0.1402 0.3598 0.0000 (multiplicity 4)
3 Pt 0.1666 0.6666 0.5000 (multiplicity 4)

The 10 most intense peaks (2θ = 10–80°), low angle first:
21.47°, I 13; 22.53°, I 19; 30.55°, I 13; 34.26°, I 20; 38.29°, I 16; 41.40°, I 100; 46.00°, I 18; 49.23°, I 17; 69.66°, I 12; 70.50°, I 15

[7]
Simulated powder X-ray diffraction pattern of Si2Ni3Pt for Cu Kα, 1.54184 Å, from the PBE geometry in Alexandria.
Intensities are scaled so that the largest is 100.

Cell and atoms:
Cell: 16.6863 3.7093 8.0469 Å, 90.00 116.32 90.00°
Space group C2/m (No. 12)
Symmetry-distinct sites (fractional):
1 Si 0.0436 0.0000 0.3336 (multiplicity 4)
2 Si 0.1478 0.0000 0.0188 (multiplicity 4)
3 Si 0.1941 0.5000 0.6366 (multiplicity 4)
4 Ni 0.0000 0.0000 0.0000 (multiplicity 2)
5 Ni 0.0413 0.5000 0.8421 (multiplicity 4)
6 Ni 0.1162 0.0000 0.6926 (multiplicity 4)
7 Ni 0.1959 0.0000 0.4762 (multiplicity 4)
8 Ni 0.2014 0.5000 0.9207 (multiplicity 4)
9 Pt 0.0000 0.5000 0.5000 (multiplicity 2)
10 Pt 0.1286 0.5000 0.2032 (multiplicity 4)

The 10 most intense peaks (2θ = 10–80°), low angle first:
24.73°, I 38; 25.61°, I 47; 32.38°, I 20; 33.59°, I 29; 35.55°, I 65; 36.22°, I 47; 41.81°, I 20; 42.95°, I 100; 45.67°, I 61; 49.13°, I 49

[8]
Simulated powder X-ray diffraction pattern of SrSiNiPt6 for Cu Kα, 1.54184 Å, from the PBE geometry in Alexandria.
Intensities are scaled so that the largest is 100.

Cell and atoms:
Cell: 7.4168 8.5292 11.3593 Å, 90.00 90.00 90.00°
Space group Imma (No. 74)
Symmetry-distinct sites (fractional):
1 Sr 0.0000 0.2500 0.1492 (multiplicity 4)
2 Si 0.0000 0.0000 0.5000 (multiplicity 4)
3 Ni 0.2500 0.2500 0.7500 (multiplicity 4)
4 Pt 0.0000 0.2500 0.4087 (multiplicity 4)
5 Pt 0.0000 0.2500 0.8843 (multiplicity 4)
6 Pt 0.2451 0.0173 0.6249 (multiplicity 16)

The 10 most intense peaks (2θ = 10–80°), low angle first:
22.30°, I 30; 31.50°, I 46; 31.98°, I 100; 42.39°, I 29; 45.51°, I 91; 49.14°, I 21; 53.76°, I 18; 59.54°, I 15; 66.87°, I 15; 79.75°, I 14